Record 1
Starting from DFT lattice parameters and positions (GGA-PBE), the powder X-ray diffraction pattern of Mg14BC was computed for λ = 1.5418 Å (Cu Kα).
Lines closer than 0.1° are merged.

Top 10 peaks for 2θ from 5° to 70°, in order of falling intensity:
2θ (°)	d (Å)	I/Imax	h k l
38.68	2.328	100	2 0 2
36.46	2.465	26	0 0 4
33.94	2.641	25	2 0 0
67.09	1.395	18	2 0 6
60.74	1.525	16	2 2 0
50.66	1.802	15	2 0 4
24.71	3.604	4	1 0 2
16.79	5.282	2	1 0 0
34.59	2.593	1	1 1 2
45.43	1.996	1	2 1 0

Structure:
a = 6.0990 Å, b = 6.0990 Å, c = 9.8582 Å
α = 90.00°, β = 90.00°, γ = 120.00°
Space group P-6m2 (No. 187)
One atom of each set of equivalent atoms:
Mg1 0.0000 0.0000 0.2498 (multiplicity 2)
Mg2 0.0121 0.5060 0.2491 (multiplicity 6)
Mg3 0.3319 0.1659 0.0000 (multiplicity 3)
Mg4 0.3329 0.1665 0.5000 (multiplicity 3)
B1 0.3333 0.6667 0.5000 (multiplicity 1)
C1 0.3333 0.6667 0.0000 (multiplicity 1)

Record 2
Starting from DFT lattice parameters and positions (GGA-PBE), the powder X-ray diffraction pattern of Mg14BCO16 was computed for λ = 1.5418 Å (Cu Kα).
Lines closer than 0.1° are merged.

Top 10 peaks for 2θ from 5° to 70°, in order of falling intensity:
2θ (°)	d (Å)	I/Imax	h k l
42.52	2.126	100	4 0 0
62.13	1.494	54	4 0 2
43.08	2.100	52	0 0 2
61.70	1.503	26	4 4 0
36.76	2.445	13	2 2 1
33.32	2.689	2	3 1 0
25.88	3.443	2	1 1 1
38.15	2.359	2	3 2 0
10.40	8.504	2	1 0 0
39.80	2.265	1	3 1 1

Structure:
a = 8.504 Å, b = 8.504 Å, c = 4.200 Å
α = 90.00°, β = 90.00°, γ = 90.00°
Space group P4/mmm (No. 123)
One atom of each set of equivalent atoms:
Mg1 0.000 0.241 0.000 (multiplicity 4)
Mg2 0.000 0.500 0.500 (multiplicity 2)
Mg3 0.253 0.253 0.500 (multiplicity 4)
Mg4 0.253 0.500 0.000 (multiplicity 4)
B1 0.000 0.000 0.500 (multiplicity 1)
C1 0.500 0.500 0.500 (multiplicity 1)
O1 0.000 0.000 0.000 (multiplicity 1)
O2 0.000 0.206 0.500 (multiplicity 4)
O3 0.000 0.500 0.000 (multiplicity 2)
O4 0.227 0.500 0.500 (multiplicity 4)
O5 0.250 0.250 0.000 (multiplicity 4)
O6 0.500 0.500 0.000 (multiplicity 1)

Record 3
Starting from DFT lattice parameters and positions (GGA-PBE), the powder X-ray diffraction pattern of Mg6BCO8 was computed for λ = 1.5418 Å (Cu Kα).
Lines closer than 0.1° are merged.

Top 10 peaks for 2θ from 5° to 70°, in order of falling intensity:
2θ (°)	d (Å)	I/Imax	h k l
43.26	2.092	100	2 0 0
62.66	1.483	52	2 0 4
43.04	2.102	48	0 0 4
62.83	1.479	27	2 2 0
32.08	2.790	7	1 1 1
10.52	8.407	6	0 0 1
37.17	2.419	6	1 1 2
31.94	2.802	6	0 0 3
54.77	1.676	5	2 0 3
30.21	2.958	3	1 1 0

Structure:
a = 4.183 Å, b = 4.183 Å, c = 8.407 Å
α = 90.00°, β = 90.00°, γ = 90.00°
Space group P4/mmm (No. 123)
One atom of each set of equivalent atoms:
Mg1 0.000 0.000 0.000 (multiplicity 1)
Mg2 0.000 0.500 0.261 (multiplicity 4)
Mg3 0.500 0.500 0.000 (multiplicity 1)
B1 0.000 0.000 0.500 (multiplicity 1)
C1 0.500 0.500 0.500 (multiplicity 1)
O1 0.000 0.000 0.269 (multiplicity 2)
O2 0.000 0.500 0.000 (multiplicity 2)
O3 0.000 0.500 0.500 (multiplicity 2)
O4 0.500 0.500 0.248 (multiplicity 2)